Record 1
Diffraction record for Sr4Sn2Se9. The powder X-ray diffraction pattern is theoretical, not measured: it uses a cell relaxed with GGA-PBE and a wavelength of 1.5418 Å.
Kinematic intensities with the Lorentz-polarization factor, no thermal factor.

abc: 12.121 16.360 8.753
angles: 90.00 90.00 90.00
Positions (direct):
1 Sr 0.112 0.174 0.247
2 Sr 0.112 0.174 0.753
3 Sr 0.246 0.928 0.251
4 Sr 0.246 0.928 0.749
5 Sr 0.254 0.428 0.251
6 Sr 0.254 0.428 0.749
7 Sr 0.388 0.674 0.247
8 Sr 0.388 0.674 0.753
9 Sr 0.612 0.326 0.247
10 Sr 0.612 0.326 0.753
11 Sr 0.746 0.572 0.251
12 Sr 0.746 0.572 0.749
13 Sr 0.754 0.072 0.251
14 Sr 0.754 0.072 0.749
15 Sr 0.888 0.826 0.247
16 Sr 0.888 0.826 0.753
17 Sn 0.049 0.604 0.500
18 Sn 0.090 0.678 0.000
19 Sn 0.410 0.178 0.000
20 Sn 0.451 0.104 0.500
21 Sn 0.549 0.896 0.500
22 Sn 0.590 0.822 0.000
23 Sn 0.910 0.322 0.000
24 Sn 0.951 0.396 0.500
25 Se 0.000 0.500 0.274
26 Se 0.000 0.500 0.726
27 Se 0.036 0.930 0.500
28 Se 0.041 0.931 0.000
29 Se 0.123 0.320 0.000
30 Se 0.130 0.749 0.257
31 Se 0.130 0.749 0.743
32 Se 0.134 0.314 0.500
33 Se 0.242 0.074 0.500
34 Se 0.242 0.569 0.000
35 Se 0.258 0.069 0.000
36 Se 0.258 0.574 0.500
37 Se 0.366 0.814 0.500
38 Se 0.370 0.249 0.257
39 Se 0.370 0.249 0.743
40 Se 0.377 0.820 0.000
41 Se 0.459 0.431 0.000
42 Se 0.464 0.430 0.500
43 Se 0.500 0.000 0.274
44 Se 0.500 0.000 0.726
45 Se 0.536 0.570 0.500
46 Se 0.541 0.569 0.000
47 Se 0.623 0.180 0.000
48 Se 0.630 0.751 0.257
49 Se 0.630 0.751 0.743
50 Se 0.634 0.186 0.500
51 Se 0.742 0.426 0.500
52 Se 0.742 0.931 0.000
53 Se 0.758 0.431 0.000
54 Se 0.758 0.926 0.500
55 Se 0.866 0.686 0.500
56 Se 0.870 0.251 0.257
57 Se 0.870 0.251 0.743
58 Se 0.877 0.680 0.000
59 Se 0.959 0.069 0.000
60 Se 0.964 0.070 0.500

Principal peaks in the range 15 to 90 degrees two-theta, in order of rising 2θ:
d [Å], I (rel.)
3.286, 100.0
2.987, 22.2
2.973, 34.7
2.901, 63.8
2.878, 24.0
2.842, 79.8
2.791, 33.7
2.463, 16.9
2.404, 20.0
2.188, 56.5
2.053, 20.9
1.734, 34.7

Record 2
Diffraction record for TcSnSe. The powder X-ray diffraction pattern is theoretical, not measured: it uses a cell relaxed with GGA-PBE and a wavelength of 1.5418 Å.
Kinematic intensities with the Lorentz-polarization factor, no thermal factor.

abc: 4.617 4.617 4.617
angles: 60.00 60.00 60.00
Positions (direct):
1 Tc 0.000 0.000 0.000
2 Sn 0.250 0.250 0.250
3 Se 0.500 0.500 0.500

Principal peaks in the range 15 to 90 degrees two-theta, in order of rising 2θ:
d [Å], I (rel.)
3.770, 40.7
3.265, 5.2
2.308, 100.0
1.969, 21.2
1.885, 1.2
1.632, 17.1
1.498, 9.0
1.460, 1.4
1.333, 34.9
1.257, 6.9
1.154, 11.3
1.104, 7.4

Record 3
Diffraction record for Sn3Te2Se. The powder X-ray diffraction pattern is theoretical, not measured: it uses a cell relaxed with GGA-PBE and a wavelength of 1.5418 Å.
Kinematic intensities with the Lorentz-polarization factor, no thermal factor.

abc: 4.434 4.434 10.911
angles: 90.00 90.00 120.00
Positions (direct):
1 Sn 0.000 0.000 0.000
2 Sn 0.333 0.667 0.655
3 Sn 0.667 0.333 0.345
4 Te 0.333 0.667 0.172
5 Te 0.667 0.333 0.828
6 Se 0.000 0.000 0.500

Principal peaks in the range 15 to 90 degrees two-theta, in order of rising 2θ:
d [Å], I (rel.)
3.140, 100.0
2.224, 37.3
2.217, 38.4
1.818, 6.5
1.811, 20.7
1.570, 12.7
1.406, 16.8
1.402, 18.1
1.285, 6.0
1.281, 19.8
1.112, 4.0
1.108, 4.5

Record 4
Diffraction record for Tl2SnSe3. The powder X-ray diffraction pattern is theoretical, not measured: it uses a cell relaxed with GGA-PBE and a wavelength of 1.5418 Å.
Kinematic intensities with the Lorentz-polarization factor, no thermal factor.

abc: 8.282 21.659 8.478
angles: 90.00 90.00 90.00
Positions (direct):
1 Tl 0.176 0.167 0.013
2 Tl 0.176 0.333 0.013
3 Tl 0.235 0.005 0.948
4 Tl 0.235 0.495 0.948
5 Tl 0.265 0.505 0.448
6 Tl 0.265 0.995 0.448
7 Tl 0.324 0.667 0.513
8 Tl 0.324 0.833 0.513
9 Tl 0.676 0.167 0.487
10 Tl 0.676 0.333 0.487
11 Tl 0.735 0.005 0.552
12 Tl 0.735 0.495 0.552
13 Tl 0.765 0.505 0.052
14 Tl 0.765 0.995 0.052
15 Tl 0.824 0.667 0.987
16 Tl 0.824 0.833 0.987
17 Sn 0.176 0.167 0.510
18 Sn 0.176 0.333 0.510
19 Sn 0.324 0.667 0.010
20 Sn 0.324 0.833 0.010
21 Sn 0.676 0.167 0.990
22 Sn 0.676 0.333 0.990
23 Sn 0.824 0.667 0.490
24 Sn 0.824 0.833 0.490
25 Se 0.009 0.250 0.665
26 Se 0.014 0.093 0.336
27 Se 0.014 0.407 0.336
28 Se 0.127 0.607 0.181
29 Se 0.127 0.893 0.181
30 Se 0.166 0.750 0.840
31 Se 0.334 0.250 0.340
32 Se 0.373 0.107 0.681
33 Se 0.373 0.393 0.681
34 Se 0.486 0.593 0.836
35 Se 0.486 0.907 0.836
36 Se 0.491 0.750 0.165
37 Se 0.509 0.250 0.835
38 Se 0.514 0.093 0.164
39 Se 0.514 0.407 0.164
40 Se 0.627 0.607 0.319
41 Se 0.627 0.893 0.319
42 Se 0.666 0.750 0.660
43 Se 0.834 0.250 0.160
44 Se 0.873 0.107 0.819
45 Se 0.873 0.393 0.819
46 Se 0.986 0.593 0.664
47 Se 0.986 0.907 0.664
48 Se 0.991 0.750 0.335

Principal peaks in the range 15 to 90 degrees two-theta, in order of rising 2θ:
d [Å], I (rel.)
4.239, 47.1
4.141, 30.8
3.610, 25.0
3.344, 24.0
3.096, 30.3
2.962, 49.2
2.935, 43.2
2.748, 100.0
2.721, 57.9
2.479, 21.7
2.445, 17.6
2.290, 28.1

Record 5
Diffraction record for Tl4SnSe3. The powder X-ray diffraction pattern is theoretical, not measured: it uses a cell relaxed with GGA-PBE and a wavelength of 1.5418 Å.
Kinematic intensities with the Lorentz-polarization factor, no thermal factor.

abc: 8.824 8.824 8.824
angles: 122.31 122.31 86.04
Positions (direct):
1 Tl 0.006 0.506 0.201
2 Tl 0.195 0.994 0.500
3 Tl 0.305 0.805 0.799
4 Tl 0.494 0.695 0.500
5 Tl 0.506 0.305 0.500
6 Tl 0.695 0.195 0.201
7 Tl 0.805 0.006 0.500
8 Tl 0.994 0.494 0.799
9 Sn 0.000 0.000 0.000
10 Sn 0.500 0.500 0.000
11 Se 0.165 0.335 0.500
12 Se 0.250 0.250 0.000
13 Se 0.335 0.835 0.170
14 Se 0.665 0.165 0.830
15 Se 0.750 0.750 0.000
16 Se 0.835 0.665 0.500

Principal peaks in the range 15 to 90 degrees two-theta, in order of rising 2θ:
d [Å], I (rel.)
3.652, 15.7
2.850, 100.0
2.692, 39.1
2.150, 8.4
2.007, 7.2
1.861, 11.6
1.777, 7.5
1.704, 6.1
1.680, 10.4
1.484, 18.9
1.467, 7.0
1.342, 6.6

Record 6
Diffraction record for Zr5Sn3Se. The powder X-ray diffraction pattern is theoretical, not measured: it uses a cell relaxed with GGA-PBE and a wavelength of 1.5418 Å.
Kinematic intensities with the Lorentz-polarization factor, no thermal factor.

abc: 8.657 8.657 6.084
angles: 90.00 90.00 120.00
Positions (direct):
1 Zr 0.000 0.263 0.250
2 Zr 0.000 0.737 0.750
3 Zr 0.263 0.000 0.250
4 Zr 0.263 0.263 0.750
5 Zr 0.333 0.667 0.000
6 Zr 0.333 0.667 0.500
7 Zr 0.667 0.333 0.000
8 Zr 0.667 0.333 0.500
9 Zr 0.737 0.000 0.750
10 Zr 0.737 0.737 0.250
11 Sn 0.000 0.395 0.750
12 Sn 0.000 0.605 0.250
13 Sn 0.395 0.000 0.750
14 Sn 0.395 0.395 0.250
15 Sn 0.605 0.000 0.250
16 Sn 0.605 0.605 0.750
17 Se 0.000 0.000 0.000
18 Se 0.000 0.000 0.500

Principal peaks in the range 15 to 90 degrees two-theta, in order of rising 2θ:
d [Å], I (rel.)
3.042, 14.3
2.569, 79.5
2.499, 68.7
2.489, 100.0
1.968, 26.4
1.763, 20.1
1.649, 20.7
1.521, 10.4
1.441, 13.5
1.380, 12.1
1.345, 10.2
1.299, 17.3

Record 7
Diffraction record for SrSe. The powder X-ray diffraction pattern is theoretical, not measured: it uses a cell relaxed with GGA-PBE and a wavelength of 1.5418 Å.
Kinematic intensities with the Lorentz-polarization factor, no thermal factor.

abc: 4.457 4.457 4.457
angles: 60.00 60.00 60.00
Positions (direct):
1 Sr 0.000 0.000 0.000
2 Se 0.500 0.500 0.500

Principal peaks in the range 15 to 90 degrees two-theta, in order of rising 2θ:
d [Å], I (rel.)
3.152, 100.0
2.229, 75.3
1.820, 26.7
1.576, 12.5
1.410, 34.4
1.287, 25.5
1.114, 8.4

Record 8
Diffraction record for SrTb2Se4. The powder X-ray diffraction pattern is theoretical, not measured: it uses a cell relaxed with GGA-PBE and a wavelength of 1.5418 Å.
Kinematic intensities with the Lorentz-polarization factor, no thermal factor.

abc: 12.749 4.163 15.024
angles: 90.00 90.00 90.00
Positions (direct):
1 Sr 0.239 0.250 0.168
2 Sr 0.261 0.750 0.668
3 Sr 0.739 0.250 0.332
4 Sr 0.761 0.750 0.832
5 Tb 0.059 0.250 0.389
6 Tb 0.087 0.250 0.904
7 Tb 0.413 0.750 0.404
8 Tb 0.441 0.750 0.889
9 Tb 0.559 0.250 0.111
10 Tb 0.587 0.250 0.596
11 Tb 0.913 0.750 0.096
12 Tb 0.941 0.750 0.611
13 Se 0.033 0.750 0.785
14 Se 0.092 0.250 0.577
15 Se 0.128 0.750 0.034
16 Se 0.202 0.750 0.327
17 Se 0.298 0.250 0.827
18 Se 0.372 0.250 0.534
19 Se 0.408 0.750 0.077
20 Se 0.467 0.250 0.285
21 Se 0.533 0.750 0.715
22 Se 0.592 0.250 0.923
23 Se 0.628 0.750 0.466
24 Se 0.702 0.750 0.173
25 Se 0.798 0.250 0.673
26 Se 0.872 0.250 0.966
27 Se 0.908 0.750 0.423
28 Se 0.967 0.250 0.215

Principal peaks in the range 15 to 90 degrees two-theta, in order of rising 2θ:
d [Å], I (rel.)
3.756, 43.2
3.699, 78.5
3.501, 69.7
3.105, 61.6
2.932, 53.0
2.917, 42.0
2.724, 52.5
2.555, 100.0
2.531, 53.2
2.099, 51.9
2.081, 67.0
2.034, 48.5